Calculated powder X-ray diffraction pattern of PaTcIO6 for Cu Kα (λ = 1.5418 Å), from a GGA-PBE-relaxed structure.
Neutral-atom scattering factors, no anomalous dispersion.

The 6 most intense peaks (2θ from 10° to 90°), sorted by position:
2θ/deg	Rel. int.
14.49	100
26.14	98
26.73	72
26.87	97
27.96	55
44.09	36

Structure:
```
data_PaTcIO6
_cell_length_a 7.2792
_cell_length_b 8.2153
_cell_length_c 11.2537
_cell_angle_alpha 90.00
_cell_angle_beta 90.00
_cell_angle_gamma 90.00
_symmetry_space_group_name_H-M 'I m m a'
_symmetry_Int_Tables_number 74
_symmetry_space_group_name_Hall '-I 2b 2'
loop_
_atom_site_label
_atom_site_fract_x
_atom_site_fract_y
_atom_site_fract_z
Pa1 0.0000 0.0000 0.0000
Tc1 0.2500 0.2500 0.2500
I1 0.0000 0.2500 0.6818
O1 0.0000 0.2500 0.2999
O2 0.0000 0.2500 0.9446
O3 0.1903 0.0883 0.1379
```